[1]
Diffraction record for Pr2Y2Er. The X-ray diffraction stick pattern is calculated, not measured: it uses the PBE geometry in Alexandria and CuKα.
Lines closer than 0.1° are merged.

```
data_Pr2Y2Er
_cell_length_a 3.685
_cell_length_b 5.784
_cell_length_c 31.854
_cell_angle_alpha 90.00
_cell_angle_beta 90.00
_cell_angle_gamma 90.00
_space_group_name_H-M_alt 'I m m a'
_space_group_IT_number 74
_space_group_name_Hall '-I 2b 2'
loop_
_atom_site_label
_atom_site_type_symbol
_atom_site_fract_x
_atom_site_fract_y
_atom_site_fract_z
Pr1 Pr 0.000 0.250 0.022
Pr2 Pr 0.000 0.250 0.121
Y1 Y 0.000 0.250 0.291
Y2 Y 0.000 0.250 0.804
Er1 Er 0.000 0.250 0.581
```

Peak list (8 most intense, 5° ≤ 2θ ≤ 70°, most intense first)
- hkl 0 2 0, d 2.894, I 100
- hkl 0 1 9, d 3.019, I 34
- hkl 0 0 2, d 15.927, I 25
- hkl 1 0 7, d 2.864, I 21
- hkl 1 1 2, d 3.050, I 21
- hkl 0 1 11, d 2.589, I 20
- hkl 1 2 7, d 2.035, I 16
- hkl 0 0 10, d 3.187, I 15



[2]
Diffraction record for Ba2BiTeIr. The X-ray diffraction stick pattern is calculated, not measured: it uses the PBE geometry in Alexandria and CuKα.
Lines closer than 0.1° are merged.

```
data_Ba2BiTeIr
_cell_length_a 6.248
_cell_length_b 6.248
_cell_length_c 5.047
_cell_angle_alpha 90.00
_cell_angle_beta 90.00
_cell_angle_gamma 90.00
_space_group_name_H-M_alt 'P 4/m m m'
_space_group_IT_number 123
_space_group_name_Hall '-P 4 2'
loop_
_atom_site_label
_atom_site_type_symbol
_atom_site_fract_x
_atom_site_fract_y
_atom_site_fract_z
Ba1 Ba 0.000 0.500 0.000
Bi1 Bi 0.000 0.000 0.500
Te1 Te 0.500 0.500 0.500
Ir1 Ir 0.000 0.000 0.000
```

Peak list (8 most intense, 5° ≤ 2θ ≤ 70°, most intense first)
- hkl 2 0 0, d 3.124, I 100
- hkl 1 1 1, d 3.324, I 63
- hkl 1 0 0, d 6.248, I 59
- hkl 2 0 2, d 1.963, I 54
- hkl 2 2 0, d 2.209, I 38
- hkl 2 2 2, d 1.662, I 32
- hkl 0 0 2, d 2.524, I 28
- hkl 1 1 0, d 4.418, I 24